[1]
Starting from a cell relaxed with GGA-PBE, the powder X-ray diffraction pattern of NpAsSe3 was calculated for Cu Kα.

Crystal structure
```
data_NpAsSe3
_chemical_formula_sum 'Np4 As4 Se12'
_cell_length_a 4.0577
_cell_length_b 23.6405
_cell_length_c 5.6775
_cell_angle_alpha 90.00
_cell_angle_beta 90.00
_cell_angle_gamma 90.00
_space_group_name_H-M_alt 'A m a 2'
_space_group_IT_number 40
loop_
_space_group_symop_operation_xyz
'x,y,z'
'-x,-y,z'
'-x+1/2,y,z'
'x+1/2,-y,z'
'x,y+1/2,z+1/2'
'-x,-y+1/2,z+1/2'
'-x+1/2,y+1/2,z+1/2'
'x+1/2,-y+1/2,z+1/2'
loop_
_atom_site_label
_atom_site_type_symbol
_atom_site_fract_x
_atom_site_fract_y
_atom_site_fract_z
Np1 Np 0.2500 0.1871 0.0000
As1 As 0.2500 0.3734 0.8642
Se1 Se 0.2500 0.0705 0.2432
Se2 Se 0.2500 0.2250 0.5030
Se3 Se 0.2500 0.3863 0.2929
```

Main lines, by angle (2θ = 5–70°):
7.48 deg, d = 11.820 Å, rel. 100, (0 2 0)
19.27 deg, d = 4.606 Å, rel. 19, (0 3 1)
24.50 deg, d = 3.633 Å, rel. 13, (0 5 1)
26.65 deg, d = 3.345 Å, rel. 18, (1 4 0)
27.28 deg, d = 3.270 Å, rel. 19, (1 1 1)
31.65 deg, d = 2.827 Å, rel. 42, (1 6 0)
32.44 deg, d = 2.760 Å, rel. 21, (0 2 2)
33.10 deg, d = 2.707 Å, rel. 16, (1 5 1)
38.11 deg, d = 2.361 Å, rel. 20, (1 7 1)
39.48 deg, d = 2.282 Å, rel. 16, (1 2 2)
41.73 deg, d = 2.164 Å, rel. 27, (1 4 2)
44.66 deg, d = 2.029 Å, rel. 14, (2 0 0)

[2]
Starting from a cell relaxed with GGA-PBE, the powder X-ray diffraction pattern of Np6AsSe12 was calculated for Cu Kα.

Crystal structure
```
data_Np6AsSe12
_chemical_formula_sum 'Np18 As3 Se36'
_cell_length_a 12.5038
_cell_length_b 12.5038
_cell_length_c 11.4547
_cell_angle_alpha 90.00
_cell_angle_beta 90.00
_cell_angle_gamma 120.00
_space_group_name_H-M_alt 'R -3'
_space_group_IT_number 148
_space_group_name_Hall '-R 3'
loop_
_atom_site_label
_atom_site_type_symbol
_atom_site_fract_x
_atom_site_fract_y
_atom_site_fract_z
Np1 Np 0.0505 0.7795 0.1463
As1 As 0.0000 0.0000 0.5000
Se1 Se 0.0348 0.8183 0.8940
Se2 Se 0.0556 0.8473 0.3892
```

Main lines, by angle (2θ = 5–70°):
14.17 deg, d = 6.252 Å, rel. 24, (1 1 0)
23.08 deg, d = 3.854 Å, rel. 100, (3 -1 1)
23.30 deg, d = 3.818 Å, rel. 31, (0 0 3)
27.37 deg, d = 3.259 Å, rel. 13, (1 1 3)
30.78 deg, d = 2.905 Å, rel. 16, (4 -3 1)
33.70 deg, d = 2.660 Å, rel. 18, (4 -1 2)
38.08 deg, d = 2.363 Å, rel. 57, (4 1 0)
38.36 deg, d = 2.346 Å, rel. 55, (3 -1 4)
39.54 deg, d = 2.279 Å, rel. 14, (2 3 2)
45.00 deg, d = 2.015 Å, rel. 17, (2 4 1)
45.12 deg, d = 2.009 Å, rel. 23, (4 1 3)
45.37 deg, d = 1.999 Å, rel. 14, (1 2 5)

[3]
Starting from a cell relaxed with GGA-PBE, the powder X-ray diffraction pattern of Sm3NpAs4 was calculated for Cu Kα.

Crystal structure
```
data_Sm3NpAs4
_chemical_formula_sum 'Sm6 Np2 As8'
_cell_length_a 8.3893
_cell_length_b 11.8265
_cell_length_c 4.1793
_cell_angle_alpha 90.00
_cell_angle_beta 90.00
_cell_angle_gamma 90.00
_space_group_name_H-M_alt 'C m m m'
_space_group_IT_number 65
_space_group_name_Hall '-C 2 2'
loop_
_atom_site_label
_atom_site_type_symbol
_atom_site_fract_x
_atom_site_fract_y
_atom_site_fract_z
Sm1 Sm 0.0000 0.0000 0.0000
Sm2 Sm 0.2500 0.2500 0.5000
Np1 Np 0.0000 0.5000 0.0000
As1 As 0.0000 0.2542 0.0000
As2 As 0.2438 0.5000 0.5000
```

Main lines, by angle (2θ = 5–70°):
12.94 deg, d = 6.843 Å, rel. 4, (1 1 0)
24.96 deg, d = 3.567 Å, rel. 2, (1 1 1)
26.08 deg, d = 3.417 Å, rel. 27, (2 2 0)
30.20 deg, d = 2.959 Å, rel. 100, (2 0 1)
43.13 deg, d = 2.097 Å, rel. 13, (4 0 0)
43.26 deg, d = 2.092 Å, rel. 63, (0 0 2)
51.15 deg, d = 1.786 Å, rel. 7, (4 2 1)
51.23 deg, d = 1.783 Å, rel. 7, (0 6 1)
53.57 deg, d = 1.711 Å, rel. 13, (4 4 0)
53.71 deg, d = 1.706 Å, rel. 13, (0 4 2)
62.80 deg, d = 1.480 Å, rel. 12, (4 0 2)
69.20 deg, d = 1.358 Å, rel. 4, (4 6 1)

[4]
Starting from a cell relaxed with GGA-PBE, the powder X-ray diffraction pattern of TbNp3As4 was calculated for Cu Kα.

Crystal structure
```
data_TbNp3As4
_chemical_formula_sum 'Tb1 Np3 As4'
_cell_length_a 5.8195
_cell_length_b 5.8195
_cell_length_c 5.8195
_cell_angle_alpha 90.00
_cell_angle_beta 90.00
_cell_angle_gamma 90.00
_space_group_name_H-M_alt 'P m -3 m'
_space_group_IT_number 221
_space_group_name_Hall '-P 4 2 3'
loop_
_atom_site_label
_atom_site_type_symbol
_atom_site_fract_x
_atom_site_fract_y
_atom_site_fract_z
Tb1 Tb 0.0000 0.0000 0.0000
Np1 Np 0.0000 0.5000 0.5000
As1 As 0.0000 0.0000 0.5000
As2 As 0.5000 0.5000 0.5000
```

Main lines, by angle (2θ = 5–70°):
15.22 deg, d = 5.819 Å, rel. 2, (1 0 0)
21.60 deg, d = 4.115 Å, rel. 2, (1 1 0)
26.53 deg, d = 3.360 Å, rel. 41, (1 1 1)
30.73 deg, d = 2.910 Å, rel. 100, (2 0 0)
34.46 deg, d = 2.603 Å, rel. 1, (2 1 0)
37.87 deg, d = 2.376 Å, rel. 1, (2 1 1)
44.01 deg, d = 2.057 Å, rel. 76, (2 2 0)
46.83 deg, d = 1.940 Å, rel. 1, (3 0 0)
52.13 deg, d = 1.755 Å, rel. 21, (3 1 1)
54.63 deg, d = 1.680 Å, rel. 27, (2 2 2)
59.43 deg, d = 1.555 Å, rel. 1, (3 2 1)
64.00 deg, d = 1.455 Å, rel. 13, (4 0 0)

[5]
Starting from a cell relaxed with GGA-PBE, the powder X-ray diffraction pattern of Tb3Th2NpAs6 was calculated for Cu Kα.

Crystal structure
```
data_Tb3Th2NpAs6
_chemical_formula_sum 'Tb6 Th4 Np2 As12'
_cell_length_a 18.2086
_cell_length_b 4.1806
_cell_length_c 8.3467
_cell_angle_alpha 90.00
_cell_angle_beta 103.25
_cell_angle_gamma 90.00
_space_group_name_H-M_alt 'C 1 2/m 1'
_space_group_IT_number 12
loop_
_space_group_symop_operation_xyz
'x,y,z'
'-x,-y,-z'
'-x,y,-z'
'x,-y,z'
'x+1/2,y+1/2,z'
'-x+1/2,-y+1/2,-z'
'-x+1/2,y+1/2,-z'
'x+1/2,-y+1/2,z'
loop_
_atom_site_label
_atom_site_type_symbol
_atom_site_fract_x
_atom_site_fract_y
_atom_site_fract_z
Tb1 Tb 0.0000 0.0000 0.0000
Tb2 Tb 0.1674 0.5000 0.3332
Th1 Th 0.1647 0.5000 0.8300
Np1 Np 0.0000 0.0000 0.5000
As1 As 0.0023 0.5000 0.2528
As2 As 0.1659 0.0000 0.0862
As3 As 0.1663 0.0000 0.5775
```

Main lines, by angle (2θ = 5–70°):
12.99 deg, d = 6.817 Å, rel. 3, (2 0 -1)
24.99 deg, d = 3.563 Å, rel. 3, (4 0 1)
26.13 deg, d = 3.411 Å, rel. 34, (2 0 2)
30.26 deg, d = 2.954 Å, rel. 100, (6 0 0)
33.05 deg, d = 2.710 Å, rel. 2, (5 1 -1)
43.32 deg, d = 2.089 Å, rel. 76, (0 2 0)
45.40 deg, d = 1.998 Å, rel. 1, (2 2 -1)
51.29 deg, d = 1.781 Å, rel. 17, (5 1 -4)
53.75 deg, d = 1.705 Å, rel. 27, (6 2 0)
62.93 deg, d = 1.477 Å, rel. 13, (2 2 -4)
69.32 deg, d = 1.355 Å, rel. 6, (11 1 -4)
69.41 deg, d = 1.354 Å, rel. 1, (6 0 -6)

[6]
Starting from a cell relaxed with GGA-PBE, the powder X-ray diffraction pattern of Np4Tc7As6 was calculated for Cu Kα.

Crystal structure
```
data_Np4Tc7As6
_chemical_formula_sum 'Np8 Tc14 As12'
_cell_length_a 8.3517
_cell_length_b 8.3517
_cell_length_c 8.3517
_cell_angle_alpha 90.00
_cell_angle_beta 90.00
_cell_angle_gamma 90.00
_space_group_name_H-M_alt 'I m -3 m'
_space_group_IT_number 229
_space_group_name_Hall '-I 4 2 3'
loop_
_atom_site_label
_atom_site_type_symbol
_atom_site_fract_x
_atom_site_fract_y
_atom_site_fract_z
Np1 Np 0.2500 0.2500 0.2500
Tc1 Tc 0.0000 0.0000 0.0000
Tc2 Tc 0.0000 0.2500 0.5000
As1 As 0.0000 0.0000 0.3078
```

Main lines, by angle (2θ = 5–70°):
21.28 deg, d = 4.176 Å, rel. 17, (2 0 0)
30.27 deg, d = 2.953 Å, rel. 46, (2 2 0)
33.94 deg, d = 2.641 Å, rel. 2, (3 1 0)
37.30 deg, d = 2.411 Å, rel. 100, (2 2 2)
40.41 deg, d = 2.232 Å, rel. 11, (3 2 1)
43.34 deg, d = 2.088 Å, rel. 60, (4 0 0)
46.11 deg, d = 1.969 Å, rel. 5, (3 3 0)
48.76 deg, d = 1.867 Å, rel. 15, (4 2 0)
51.31 deg, d = 1.781 Å, rel. 8, (3 3 2)
53.77 deg, d = 1.705 Å, rel. 13, (4 2 2)
62.96 deg, d = 1.476 Å, rel. 34, (4 4 0)
67.26 deg, d = 1.392 Å, rel. 9, (4 4 2)

[7]
Starting from a cell relaxed with GGA-PBE, the powder X-ray diffraction pattern of NpTcAs4 was calculated for Cu Kα.

Crystal structure
```
data_NpTcAs4
_chemical_formula_sum 'Np2 Tc2 As8'
_cell_length_a 6.6821
_cell_length_b 6.7179
_cell_length_c 6.0956
_cell_angle_alpha 90.00
_cell_angle_beta 109.24
_cell_angle_gamma 90.00
_space_group_name_H-M_alt 'P 1 21/c 1'
_space_group_IT_number 14
loop_
_space_group_symop_operation_xyz
'x,y,z'
'-x,-y,-z'
'-x,y+1/2,-z+1/2'
'x,-y+1/2,z+1/2'
loop_
_atom_site_label
_atom_site_type_symbol
_atom_site_fract_x
_atom_site_fract_y
_atom_site_fract_z
Np1 Np 0.0000 0.0000 0.0000
Tc1 Tc 0.5000 0.0000 0.5000
As1 As 0.1502 0.1077 0.5135
As2 As 0.4428 0.6422 0.6048
```

Main lines, by angle (2θ = 5–70°):
21.65 deg, d = 4.106 Å, rel. 71, (1 1 -1)
26.54 deg, d = 3.359 Å, rel. 60, (0 2 0)
27.58 deg, d = 3.234 Å, rel. 30, (1 1 1)
28.29 deg, d = 3.154 Å, rel. 74, (2 0 0)
31.08 deg, d = 2.878 Å, rel. 100, (0 0 2)
31.74 deg, d = 2.819 Å, rel. 41, (1 2 -1)
39.18 deg, d = 2.299 Å, rel. 64, (2 2 0)
41.31 deg, d = 2.185 Å, rel. 43, (0 2 2)
42.80 deg, d = 2.113 Å, rel. 67, (3 1 -1)
44.07 deg, d = 2.055 Å, rel. 90, (1 3 -1)
47.50 deg, d = 1.914 Å, rel. 56, (1 3 1)
54.82 deg, d = 1.674 Å, rel. 41, (3 1 -3)

[8]
Starting from a cell relaxed with GGA-PBE, the powder X-ray diffraction pattern of NpTc3As3 was calculated for Cu Kα.

Crystal structure
```
data_NpTc3As3
_chemical_formula_sum 'Np2 Tc6 As6'
_cell_length_a 6.7399
_cell_length_b 6.7399
_cell_length_c 6.7399
_cell_angle_alpha 90.00
_cell_angle_beta 90.00
_cell_angle_gamma 90.00
_space_group_name_H-M_alt 'P m -3 n'
_space_group_IT_number 223
_space_group_name_Hall '-P 4n 2 3'
loop_
_atom_site_label
_atom_site_type_symbol
_atom_site_fract_x
_atom_site_fract_y
_atom_site_fract_z
Np1 Np 0.0000 0.0000 0.0000
Tc1 Tc 0.0000 0.2500 0.5000
As1 As 0.0000 0.5000 0.2500
```

Main lines, by angle (2θ = 5–70°):
18.62 deg, d = 4.766 Å, rel. 2, (1 1 0)
26.45 deg, d = 3.370 Å, rel. 43, (2 0 0)
29.64 deg, d = 3.014 Å, rel. 2, (2 1 0)
32.54 deg, d = 2.752 Å, rel. 100, (2 1 1)
37.75 deg, d = 2.383 Å, rel. 1, (2 2 0)
42.41 deg, d = 2.131 Å, rel. 1, (3 1 0)
46.69 deg, d = 1.946 Å, rel. 6, (2 2 2)
50.68 deg, d = 1.801 Å, rel. 58, (3 2 1)
54.45 deg, d = 1.685 Å, rel. 20, (4 0 0)
58.06 deg, d = 1.589 Å, rel. 1, (4 1 1)
61.53 deg, d = 1.507 Å, rel. 16, (4 2 0)
64.89 deg, d = 1.437 Å, rel. 14, (3 3 2)

[9]
Starting from a cell relaxed with GGA-PBE, the powder X-ray diffraction pattern of ThNp3As4 was calculated for Cu Kα.

Crystal structure
```
data_ThNp3As4
_chemical_formula_sum 'Th1 Np3 As4'
_cell_length_a 5.8824
_cell_length_b 5.8824
_cell_length_c 5.8824
_cell_angle_alpha 90.00
_cell_angle_beta 90.00
_cell_angle_gamma 90.00
_space_group_name_H-M_alt 'P m -3 m'
_space_group_IT_number 221
_space_group_name_Hall '-P 4 2 3'
loop_
_atom_site_label
_atom_site_type_symbol
_atom_site_fract_x
_atom_site_fract_y
_atom_site_fract_z
Th1 Th 0.0000 0.0000 0.0000
Np1 Np 0.0000 0.5000 0.5000
As1 As 0.0000 0.0000 0.5000
As2 As 0.5000 0.5000 0.5000
```

Main lines, by angle (2θ = 5–70°):
26.24 deg, d = 3.396 Å, rel. 46, (1 1 1)
30.39 deg, d = 2.941 Å, rel. 100, (2 0 0)
43.52 deg, d = 2.080 Å, rel. 76, (2 2 0)
51.53 deg, d = 1.774 Å, rel. 24, (3 1 1)
54.00 deg, d = 1.698 Å, rel. 27, (2 2 2)
63.23 deg, d = 1.471 Å, rel. 13, (4 0 0)
69.68 deg, d = 1.350 Å, rel. 10, (3 3 1)

[10]
Starting from a cell relaxed with GGA-PBE, the powder X-ray diffraction pattern of Th4NpAs5 was calculated for Cu Kα.

Crystal structure
```
data_Th4NpAs5
_chemical_formula_sum 'Th8 Np2 As10'
_cell_length_a 9.4646
_cell_length_b 9.4646
_cell_length_c 5.9816
_cell_angle_alpha 90.00
_cell_angle_beta 90.00
_cell_angle_gamma 90.00
_space_group_name_H-M_alt 'I 4/m'
_space_group_IT_number 87
_space_group_name_Hall '-I 4'
loop_
_atom_site_label
_atom_site_type_symbol
_atom_site_fract_x
_atom_site_fract_y
_atom_site_fract_z
Th1 Th 0.0983 0.7001 0.0000
Np1 Np 0.0000 0.0000 0.5000
As1 As 0.0000 0.0000 0.0000
As2 As 0.0989 0.7044 0.5000
```

Main lines, by angle (2θ = 5–70°):
25.78 deg, d = 3.455 Å, rel. 45, (1 2 1)
29.86 deg, d = 2.992 Å, rel. 100, (3 1 0)
42.74 deg, d = 2.116 Å, rel. 76, (3 1 2)
50.59 deg, d = 1.804 Å, rel. 23, (5 0 1)
53.01 deg, d = 1.728 Å, rel. 27, (2 4 2)
62.03 deg, d = 1.496 Å, rel. 13, (0 0 4)
68.32 deg, d = 1.373 Å, rel. 10, (5 0 3)

[11]
Starting from a cell relaxed with GGA-PBE, the powder X-ray diffraction pattern of Np3TiAs4 was calculated for Cu Kα.

Crystal structure
```
data_Np3TiAs4
_chemical_formula_sum 'Np6 Ti2 As8'
_cell_length_a 8.0163
_cell_length_b 11.2864
_cell_length_c 4.0021
_cell_angle_alpha 90.00
_cell_angle_beta 90.00
_cell_angle_gamma 90.00
_space_group_name_H-M_alt 'C m m m'
_space_group_IT_number 65
_space_group_name_Hall '-C 2 2'
loop_
_atom_site_label
_atom_site_type_symbol
_atom_site_fract_x
_atom_site_fract_y
_atom_site_fract_z
Np1 Np 0.0000 0.0000 0.0000
Np2 Np 0.2500 0.2500 0.5000
Ti1 Ti 0.0000 0.5000 0.0000
As1 As 0.0000 0.2620 0.0000
As2 As 0.2300 0.5000 0.5000
```

Main lines, by angle (2θ = 5–70°):
13.55 deg, d = 6.536 Å, rel. 14, (1 1 0)
26.13 deg, d = 3.410 Å, rel. 16, (1 3 0)
27.31 deg, d = 3.266 Å, rel. 49, (2 2 0)
31.59 deg, d = 2.832 Å, rel. 100, (2 0 1)
31.71 deg, d = 2.822 Å, rel. 49, (0 4 0)
34.55 deg, d = 2.596 Å, rel. 12, (1 3 1)
45.28 deg, d = 2.003 Å, rel. 37, (0 0 2)
45.37 deg, d = 1.999 Å, rel. 73, (2 4 1)
53.69 deg, d = 1.707 Å, rel. 17, (4 2 1)
53.84 deg, d = 1.703 Å, rel. 9, (2 6 0)
56.34 deg, d = 1.633 Å, rel. 38, (0 4 2)
65.97 deg, d = 1.416 Å, rel. 12, (4 0 2)

[12]
Starting from a cell relaxed with GGA-PBE, the powder X-ray diffraction pattern of TmNp2As3 was calculated for Cu Kα.

Crystal structure
```
data_TmNp2As3
_chemical_formula_sum 'Tm16 Np32 As48'
_cell_length_a 8.1837
_cell_length_b 11.5732
_cell_length_c 24.5388
_cell_angle_alpha 90.00
_cell_angle_beta 90.00
_cell_angle_gamma 90.00
_space_group_name_H-M_alt 'F d d d'
_space_group_IT_number 70
loop_
_space_group_symop_operation_xyz
'x,y,z'
'-x,-y,-z'
'-x+1/4,-y+1/4,z'
'x+1/4,y+1/4,-z'
'x,-y+1/4,-z+1/4'
'-x,y+1/4,z+1/4'
'-x+1/4,y,-z+1/4'
'x+1/4,-y,z+1/4'
'x,y+1/2,z+1/2'
'-x,-y+1/2,-z+1/2'
'-x+1/4,-y+3/4,z+1/2'
'x+1/4,y+3/4,-z+1/2'
'x,-y+3/4,-z+3/4'
'-x,y+3/4,z+3/4'
'-x+1/4,y+1/2,-z+3/4'
'x+1/4,-y+1/2,z+3/4'
'x+1/2,y,z+1/2'
'-x+1/2,-y,-z+1/2'
'-x+3/4,-y+1/4,z+1/2'
'x+3/4,y+1/4,-z+1/2'
'x+1/2,-y+1/4,-z+3/4'
'-x+1/2,y+1/4,z+3/4'
'-x+3/4,y,-z+3/4'
'x+3/4,-y,z+3/4'
'x+1/2,y+1/2,z'
'-x+1/2,-y+1/2,-z'
'-x+3/4,-y+3/4,z'
'x+3/4,y+3/4,-z'
'x+1/2,-y+3/4,-z+1/4'
'-x+1/2,y+3/4,z+1/4'
'-x+3/4,y+1/2,-z+1/4'
'x+3/4,-y+1/2,z+1/4'
loop_
_atom_site_label
_atom_site_type_symbol
_atom_site_fract_x
_atom_site_fract_y
_atom_site_fract_z
Tm1 Tm 0.1250 0.1250 0.0416
Np1 Np 0.1250 0.1250 0.3750
Np2 Np 0.1250 0.1250 0.5417
As1 As 0.1232 0.3750 0.3750
As2 As 0.1242 0.3745 0.2084
```

Main lines, by angle (2θ = 5–70°):
13.74 deg, d = 6.447 Å, rel. 2, (1 1 1)
22.48 deg, d = 3.955 Å, rel. 1, (1 1 5)
26.69 deg, d = 3.340 Å, rel. 40, (2 2 0)
30.91 deg, d = 2.893 Å, rel. 100, (2 0 6)
44.28 deg, d = 2.046 Å, rel. 75, (4 0 0)
52.45 deg, d = 1.744 Å, rel. 20, (4 2 6)
54.98 deg, d = 1.670 Å, rel. 27, (4 4 0)
64.41 deg, d = 1.446 Å, rel. 13, (4 0 12)

Repeat the first record exactly.
Starting from a cell relaxed with GGA-PBE, the powder X-ray diffraction pattern of NpAsSe3 was calculated for Cu Kα.

Crystal structure
```
data_NpAsSe3
_chemical_formula_sum 'Np4 As4 Se12'
_cell_length_a 4.0577
_cell_length_b 23.6405
_cell_length_c 5.6775
_cell_angle_alpha 90.00
_cell_angle_beta 90.00
_cell_angle_gamma 90.00
_space_group_name_H-M_alt 'A m a 2'
_space_group_IT_number 40
loop_
_space_group_symop_operation_xyz
'x,y,z'
'-x,-y,z'
'-x+1/2,y,z'
'x+1/2,-y,z'
'x,y+1/2,z+1/2'
'-x,-y+1/2,z+1/2'
'-x+1/2,y+1/2,z+1/2'
'x+1/2,-y+1/2,z+1/2'
loop_
_atom_site_label
_atom_site_type_symbol
_atom_site_fract_x
_atom_site_fract_y
_atom_site_fract_z
Np1 Np 0.2500 0.1871 0.0000
As1 As 0.2500 0.3734 0.8642
Se1 Se 0.2500 0.0705 0.2432
Se2 Se 0.2500 0.2250 0.5030
Se3 Se 0.2500 0.3863 0.2929
```

Main lines, by angle (2θ = 5–70°):
7.48 deg, d = 11.820 Å, rel. 100, (0 2 0)
19.27 deg, d = 4.606 Å, rel. 19, (0 3 1)
24.50 deg, d = 3.633 Å, rel. 13, (0 5 1)
26.65 deg, d = 3.345 Å, rel. 18, (1 4 0)
27.28 deg, d = 3.270 Å, rel. 19, (1 1 1)
31.65 deg, d = 2.827 Å, rel. 42, (1 6 0)
32.44 deg, d = 2.760 Å, rel. 21, (0 2 2)
33.10 deg, d = 2.707 Å, rel. 16, (1 5 1)
38.11 deg, d = 2.361 Å, rel. 20, (1 7 1)
39.48 deg, d = 2.282 Å, rel. 16, (1 2 2)
41.73 deg, d = 2.164 Å, rel. 27, (1 4 2)
44.66 deg, d = 2.029 Å, rel. 14, (2 0 0)